Diffraction record for TmGePd5. The X-ray diffraction stick pattern is computed, not measured: it uses a cell relaxed with PBE and CuKα.

Structural model:
Cell: 6.7389 7.4913 9.8024 Å, 90.00 106.51 90.00°
Space group C2/c (No. 15)
Asymmetric unit:
1 Tm 0.0000 0.1612 0.2500
2 Ge 0.2500 0.2500 0.0000
3 Pd 0.0000 0.2144 0.7500
4 Pd 0.1141 0.4778 0.1412
5 Pd 0.1874 0.0868 0.5570

Most intense lines, 10 to 80 degrees two-theta, by angle:
d/Å	2θ/deg	I/Imax	h k l
2.502	35.89	32.3	2 2 -1
2.403	37.42	27.1	0 2 3
2.391	37.62	56.3	2 2 -2
2.367	38.02	88.2	2 0 2
2.329	38.66	41.5	1 3 0
2.320	38.81	100.0	1 1 -4
2.120	42.65	49.3	3 1 -2
2.007	45.18	27.6	1 3 2
1.990	45.58	30.7	0 2 4
1.784	51.21	16.1	1 3 3



Diffraction record for Li4InAu3. The X-ray diffraction stick pattern is computed, not measured: it uses a cell relaxed with PBE and CuKα.

Structural model:
Cell: 9.4009 5.8245 4.7540 Å, 90.00 90.00 90.00°
Space group Pmma (No. 51)
Asymmetric unit:
1 Li 0.0000 0.2354 0.0000
2 Li 0.2500 0.2357 0.4245
3 In 0.0000 0.5000 0.5000
4 Au 0.0000 0.0000 0.5000
5 Au 0.2500 0.0000 0.9265
6 Au 0.2500 0.5000 0.9376

Most intense lines, 10 to 80 degrees two-theta, by angle:
d/Å	2θ/deg	I/Imax	h k l
3.343	26.67	100.0	2 0 1
2.912	30.70	39.0	0 2 0
2.377	37.85	16.4	0 0 2
2.350	38.30	24.4	4 0 0
2.196	41.11	72.6	2 2 1
1.841	49.50	13.7	0 2 2
1.829	49.86	20.5	4 2 0
1.450	64.26	12.6	4 2 2
1.335	70.55	19.2	2 4 1
1.325	71.15	14.5	6 2 1



Diffraction record for Ho6Tm2Mg. The X-ray diffraction stick pattern is computed, not measured: it uses a cell relaxed with PBE and CuKα.

Structural model:
Cell: 10.4169 10.4169 4.9806 Å, 90.00 90.00 90.00°
Space group P4_2/mnm (No. 136)
Asymmetric unit:
1 Ho 0.9999 0.3339 0.0000
2 Ho 0.1660 0.1660 0.5000
3 Tm 0.1673 0.8327 0.5000
4 Mg 0.0000 0.0000 0.0000

Most intense lines, 10 to 80 degrees two-theta, by angle:
d/Å	2θ/deg	I/Imax	h k l
7.366	12.02	4.8	1 1 0
2.848	31.41	100.0	3 0 1
2.490	36.07	17.3	0 0 2
2.455	36.60	33.2	3 3 0
1.748	52.33	24.0	3 3 2
1.736	52.72	11.7	6 0 0
1.498	61.96	14.5	3 0 3
1.482	62.67	28.1	6 3 1
1.424	65.54	12.4	6 0 2
1.228	77.80	3.8	6 6 0



Diffraction record for La6Sm2Dy3. The X-ray diffraction stick pattern is computed, not measured: it uses a cell relaxed with PBE and CuKα.

Structural model:
Cell: 3.6763 3.6763 97.9713 Å, 90.00 90.00 120.00°
Space group R-3m (No. 166, hexagonal axes)
Asymmetric unit:
1 La 0.0000 0.0000 0.0896
2 La 0.0000 0.0000 0.1823
3 La 0.0000 0.0000 0.3632
4 Sm 0.0000 0.0000 0.4534
5 Dy 0.0000 0.0000 0.0000
6 Dy 0.0000 0.0000 0.2737

Most intense lines, 10 to 80 degrees two-theta, by angle:
d/Å	2θ/deg	I/Imax	h k l
2.998	29.80	100.0	0 1 11
2.969	30.10	31.5	0 0 33
2.590	34.63	66.4	1 0 22
1.838	49.59	24.5	1 1 0
1.825	49.98	22.5	0 1 44
1.567	58.94	14.5	2 0 11
1.563	59.11	27.9	1 1 33
1.555	59.46	13.1	1 0 55
1.499	61.90	12.3	0 2 22
1.295	73.07	7.2	2 0 44